Record 1
CaSi2: computed powder diffractogram (λ = 1.5418 Å (Cu Kα)), based on a cell relaxed with PBE.
Intensities are scaled so that the largest is 100.

Structural model:
abc: 7.4719 7.4719 7.4719
angles: 147.01 147.01 47.35
Fractional positions:
Ca: 0.3750 0.6250 0.7500
Ca: 0.6250 0.3750 0.2500
Si: 0.0412 0.7912 0.2500
Si: 0.2088 0.9588 0.2500
Si: 0.7912 0.0412 0.7500
Si: 0.9588 0.2088 0.7500

Largest 12 diffraction maxima, sorted by position, 10 to 90 degrees two-theta:
2θ/deg, I (rel.)
28.7, 26
32.6, 100
39.2, 50
42.6, 45
51.5, 21
52.2, 9
59.3, 27
61.8, 14
69.0, 17
71.7, 17
75.7, 6
76.5, 8

Record 2
CaSi2: computed powder diffractogram (λ = 1.5418 Å (Cu Kα)), based on a cell relaxed with PBE.
Intensities are scaled so that the largest is 100.

Structural model:
abc: 10.3773 10.3773 10.3773
angles: 21.52 21.52 21.52
Fractional positions:
Ca: 0.0800 0.0800 0.0800
Ca: 0.9200 0.9200 0.9200
Si: 0.1826 0.1826 0.1826
Si: 0.3471 0.3471 0.3471
Si: 0.6529 0.6529 0.6529
Si: 0.8174 0.8174 0.8174

Largest 12 diffraction maxima, sorted by position, 10 to 90 degrees two-theta:
2θ/deg, I (rel.)
26.7, 41
29.1, 58
33.8, 100
35.4, 25
35.7, 43
42.4, 52
46.9, 74
59.0, 18
60.1, 29
64.5, 24
65.0, 14
78.6, 15

Record 3
CaSi2: computed powder diffractogram (λ = 1.5418 Å (Cu Kα)), based on a cell relaxed with PBE.
Intensities are scaled so that the largest is 100.

Structural model:
abc: 4.1027 4.1027 4.2112
angles: 90.00 90.00 120.00
Fractional positions:
Ca: 0.0000 0.0000 0.0000
Si: 0.3333 0.6667 0.5000
Si: 0.6667 0.3333 0.5000

Largest 12 diffraction maxima, sorted by position, 10 to 90 degrees two-theta:
2θ/deg, I (rel.)
21.1, 3
25.1, 4
33.0, 100
43.0, 15
44.1, 41
49.4, 1
56.2, 19
63.3, 27
72.4, 9
74.1, 16
81.2, 6
88.8, 5

Record 4
Ca5Si3: computed powder diffractogram (λ = 1.5418 Å (Cu Kα)), based on a cell relaxed with PBE.
Intensities are scaled so that the largest is 100.

Structural model:
abc: 9.1579 9.1579 9.1579
angles: 130.67 130.67 72.34
Fractional positions:
Ca: 0.0000 0.0000 0.0000
Ca: 0.0399 0.5399 0.8599
Ca: 0.1801 0.0399 0.5000
Ca: 0.3199 0.8199 0.8599
Ca: 0.4601 0.3199 0.5000
Ca: 0.5000 0.5000 0.0000
Ca: 0.5399 0.6801 0.5000
Ca: 0.6801 0.1801 0.1401
Ca: 0.8199 0.9601 0.5000
Ca: 0.9601 0.4601 0.1401
Si: 0.1127 0.3873 0.5000
Si: 0.2500 0.2500 0.0000
Si: 0.3873 0.8873 0.2746
Si: 0.6127 0.1127 0.7254
Si: 0.7500 0.7500 0.0000
Si: 0.8873 0.6127 0.5000

Largest 12 diffraction maxima, sorted by position, 10 to 90 degrees two-theta:
2θ/deg, I (rel.)
29.3, 14
31.9, 100
33.2, 23
33.7, 70
37.2, 43
40.3, 14
49.6, 15
52.8, 15
56.9, 17
63.3, 15
67.2, 12
67.4, 14

Record 5
Sr3CaSi8: computed powder diffractogram (λ = 1.5418 Å (Cu Kα)), based on a cell relaxed with PBE.
Intensities are scaled so that the largest is 100.

Structural model:
abc: 6.5139 6.5139 6.5139
angles: 89.65 89.65 89.65
Fractional positions:
Sr: 0.0000 0.2511 0.7489
Sr: 0.2511 0.7489 0.0000
Sr: 0.7489 0.0000 0.2511
Ca: 0.5000 0.5000 0.5000
Si: 0.0514 0.7000 0.5468
Si: 0.2049 0.2049 0.2049
Si: 0.3000 0.9486 0.4532
Si: 0.4532 0.3000 0.9486
Si: 0.5468 0.0514 0.7000
Si: 0.7000 0.5468 0.0514
Si: 0.7951 0.7951 0.7951
Si: 0.9486 0.4532 0.3000

Largest 12 diffraction maxima, sorted by position, 10 to 90 degrees two-theta:
2θ/deg, I (rel.)
19.3, 18
30.6, 100
30.8, 98
33.5, 26
33.8, 100
46.4, 17
52.3, 21
52.5, 15
52.7, 37
56.5, 19
65.9, 16
79.4, 18

Record 6
SrCa2Si6: computed powder diffractogram (λ = 1.5418 Å (Cu Kα)), based on a cell relaxed with PBE.
Intensities are scaled so that the largest is 100.

Structural model:
abc: 6.4170 6.4170 8.3329
angles: 92.81 92.81 36.03
Fractional positions:
Sr: 0.0000 0.0000 0.0000
Ca: 0.3306 0.3306 0.6653
Ca: 0.6694 0.6694 0.3347
Si: 0.0859 0.0859 0.5773
Si: 0.2529 0.2529 0.0849
Si: 0.4181 0.4181 0.2580
Si: 0.5819 0.5819 0.7420
Si: 0.7471 0.7471 0.9151
Si: 0.9141 0.9141 0.4227

Largest 12 diffraction maxima, sorted by position, 10 to 90 degrees two-theta:
2θ/deg, I (rel.)
26.1, 8
31.5, 19
31.8, 100
32.3, 11
35.6, 15
44.5, 16
45.3, 8
45.7, 13
46.6, 25
56.8, 12
61.7, 9
77.0, 9

Record 7
SrCaSi4: computed powder diffractogram (λ = 1.5418 Å (Cu Kα)), based on a cell relaxed with PBE.
Intensities are scaled so that the largest is 100.

Structural model:
abc: 3.9352 3.9352 10.1287
angles: 90.00 90.00 120.00
Fractional positions:
Sr: 0.0000 0.0000 0.0000
Ca: 0.0000 0.0000 0.5000
Si: 0.3333 0.6667 0.2979
Si: 0.3333 0.6667 0.7861
Si: 0.6667 0.3333 0.2139
Si: 0.6667 0.3333 0.7021

Largest 12 diffraction maxima, sorted by position, 10 to 90 degrees two-theta:
2θ/deg, I (rel.)
26.1, 12
27.6, 9
31.6, 100
35.5, 12
44.6, 19
46.1, 29
57.0, 17
59.5, 15
61.3, 10
76.3, 15
81.0, 6
84.4, 6

Record 8
SrCaSi4: computed powder diffractogram (λ = 1.5418 Å (Cu Kα)), based on a cell relaxed with PBE.
Intensities are scaled so that the largest is 100.

Structural model:
abc: 7.5222 7.5222 7.5222
angles: 146.24 146.24 48.49
Fractional positions:
Sr: 0.0000 0.0000 0.0000
Ca: 0.2500 0.7500 0.5000
Si: 0.4145 0.4145 0.0000
Si: 0.5855 0.5855 0.0000
Si: 0.6667 0.1667 0.5000
Si: 0.8333 0.3333 0.5000

Largest 12 diffraction maxima, sorted by position, 10 to 90 degrees two-theta:
2θ/deg, I (rel.)
12.9, 11
21.3, 11
28.3, 39
31.8, 100
38.8, 46
41.3, 40
50.8, 15
51.1, 19
58.0, 27
59.9, 13
67.7, 16
69.4, 19

Record 9
CaZnSi: computed powder diffractogram (λ = 1.5418 Å (Cu Kα)), based on a cell relaxed with PBE.
Intensities are scaled so that the largest is 100.

Structural model:
abc: 4.2399 4.2399 8.2329
angles: 90.00 90.00 120.00
Fractional positions:
Ca: 0.0000 0.0000 0.0000
Ca: 0.0000 0.0000 0.5000
Zn: 0.3333 0.6667 0.2500
Zn: 0.6667 0.3333 0.7500
Si: 0.3333 0.6667 0.7500
Si: 0.6667 0.3333 0.2500

Largest 12 diffraction maxima, sorted by position, 10 to 90 degrees two-theta:
2θ/deg, I (rel.)
21.6, 19
26.6, 26
32.7, 100
41.1, 9
42.6, 55
44.0, 17
48.3, 13
54.7, 21
62.9, 32
71.8, 18
73.7, 8
78.1, 8

Record 10
CaZnSi: computed powder diffractogram (λ = 1.5418 Å (Cu Kα)), based on a cell relaxed with PBE.
Intensities are scaled so that the largest is 100.

Structural model:
abc: 4.1587 4.1587 4.3414
angles: 90.00 90.00 120.00
Fractional positions:
Ca: 0.0000 0.0000 0.0000
Zn: 0.3333 0.6667 0.5000
Si: 0.6667 0.3333 0.5000

Largest 12 diffraction maxima, sorted by position, 10 to 90 degrees two-theta:
2θ/deg, I (rel.)
20.5, 18
24.7, 14
32.3, 100
41.6, 16
43.5, 43
48.5, 11
55.2, 20
61.8, 28
70.1, 9
72.8, 16
79.9, 7
86.2, 5

Record 11
Ca3Sm: computed powder diffractogram (λ = 1.5418 Å (Cu Kα)), based on a cell relaxed with PBE.
Intensities are scaled so that the largest is 100.

Structural model:
abc: 6.0180 6.0180 6.0180
angles: 60.00 60.00 60.00
Fractional positions:
Ca: 0.0000 0.0000 0.0000
Ca: 0.2500 0.2500 0.2500
Ca: 0.7500 0.7500 0.7500
Sm: 0.5000 0.5000 0.5000

Largest 12 diffraction maxima, sorted by position, 10 to 90 degrees two-theta:
2θ/deg, I (rel.)
18.1, 32
20.9, 17
29.7, 100
35.0, 19
42.5, 18
46.5, 9
47.8, 8
52.7, 38
56.2, 7
61.6, 11
69.9, 16
85.4, 18

Record 12
CaSm3: computed powder diffractogram (λ = 1.5418 Å (Cu Kα)), based on a cell relaxed with PBE.
Intensities are scaled so that the largest is 100.

Structural model:
abc: 7.4127 7.4127 5.9385
angles: 90.00 90.00 120.00
Fractional positions:
Ca: 0.3333 0.6667 0.2500
Ca: 0.6667 0.3333 0.7500
Sm: 0.1645 0.3290 0.7500
Sm: 0.1645 0.8355 0.7500
Sm: 0.3290 0.1645 0.2500
Sm: 0.6710 0.8355 0.7500
Sm: 0.8355 0.1645 0.2500
Sm: 0.8355 0.6710 0.2500

Largest 12 diffraction maxima, sorted by position, 10 to 90 degrees two-theta:
2θ/deg, I (rel.)
20.4, 13
27.8, 23
30.1, 25
31.7, 100
41.4, 16
49.2, 19
54.5, 21
58.7, 23
59.7, 16
76.4, 8
80.9, 13
83.4, 8